The following is a computed X-ray diffraction stick pattern of Mn2PO5. It was derived from the GGA+U geometry in Alexandria, using Cu Ka.
Kinematic intensities with the Lorentz-polarization factor, no thermal factor.

Structural model:
```
data_Mn2PO5
_chemical_formula_sum 'Mn8 P4 O20'
_space_group_name_H-M_alt 'C 1 2/c 1'
_space_group_IT_number 15
_space_group_name_Hall '-C 2yc'
_cell_length_a 7.845
_cell_length_b 12.452
_cell_length_c 5.548
_cell_angle_alpha 90.00
_cell_angle_beta 134.82
_cell_angle_gamma 90.00
loop_
_atom_site_label
_atom_site_fract_x
_atom_site_fract_y
_atom_site_fract_z
Mn1 0.000 0.000 0.000
Mn2 0.250 0.250 0.000
P1 0.000 0.373 0.250
O1 0.000 0.115 0.750
O2 0.000 0.305 0.016
O3 0.236 0.441 0.485
```

Largest 12 diffraction maxima, by angle, 2θ from 10° to 90°:
2θ (°)	I/Imax	h k l
17.48	22	1 1 0
26.81	100	1 3 0
28.68	10	0 4 0
35.38	15	2 2 0
36.86	18	3 1 -1
42.37	20	3 3 -1
46.13	7	0 0 2
46.29	7	4 0 -2
54.14	10	3 3 0
55.24	33	0 4 2
55.36	13	4 4 -2
64.40	8	1 7 -2